# CsRbTl17
Simulated powder diffractogram, λ = 1.5418 Å (Cu Kα). Input: a crystal structure in Alexandria, relaxed with GGA-PBE.
No peak broadening, texture or thermal motion is included.

Structural model:
Cell: 8.7600 8.7600 8.7600 Å, 81.81 81.81 81.81°
Fractional positions:
Cs  0.0000  0.0000  0.0000
Rb  0.6751  0.6751  0.6751
Tl  0.0480  0.3411  0.6302
Tl  0.0480  0.6302  0.3411
Tl  0.2014  0.6918  0.6918
Tl  0.2425  0.2425  0.2425
Tl  0.3342  0.3342  0.8468
Tl  0.3342  0.8468  0.3342
Tl  0.3411  0.0480  0.6302
Tl  0.3411  0.6302  0.0480
Tl  0.4377  0.4377  0.4377
Tl  0.4973  0.9780  0.9780
Tl  0.6302  0.0480  0.3411
Tl  0.6302  0.3411  0.0480
Tl  0.6918  0.2014  0.6918
Tl  0.6918  0.6918  0.2014
Tl  0.8468  0.3342  0.3342
Tl  0.9780  0.4973  0.9780
Tl  0.9780  0.9780  0.4973

Largest 12 diffraction maxima, in order of falling intensity, 2θ from 5° to 70°:
d 2.868, 31.2°, I 1000; d 2.565, 35.0°, I 739; d 2.828, 31.6°, I 252; d 1.656, 55.5°, I 251; d 3.251, 27.4°, I 176; d 1.434, 65.0°, I 162; d 5.736, 15.4°, I 155; d 8.603, 10.3°, I 138; d 3.312, 26.9°, I 129; d 1.626, 56.6°, I 121; d 1.648, 55.8°, I 94; d 1.591, 58.0°, I 82

=====

# Eu3In
Simulated powder diffractogram, λ = 1.5418 Å (Cu Kα). Input: a crystal structure in Alexandria, relaxed with GGA-PBE.
No peak broadening, texture or thermal motion is included.

Structural model:
Cell: 4.1501 11.9056 5.7457 Å, 90.00 90.00 90.00°
Fractional positions:
Eu  0.0000  0.0000  0.0000
Eu  0.0000  0.2212  0.4992
Eu  0.0000  0.7788  0.4992
Eu  0.5000  0.2788  0.9992
Eu  0.5000  0.5000  0.5000
Eu  0.5000  0.7212  0.9992
In  0.0000  0.5000  0.0005
In  0.5000  0.0000  0.5005

Largest 12 diffraction maxima, in order of falling intensity, 2θ from 5° to 70°:
d 2.929, 30.5°, I 1000; d 2.872, 31.1°, I 278; d 2.976, 30.0°, I 210; d 2.067, 43.8°, I 195; d 1.669, 55.0°, I 188; d 1.709, 53.6°, I 112; d 1.682, 54.6°, I 103; d 2.075, 43.6°, I 101; d 1.464, 63.5°, I 98; d 1.702, 53.9°, I 81; d 3.265, 27.3°, I 80; d 1.677, 54.7°, I 48

=====

# RbNaSc2I8
Simulated powder diffractogram, λ = 1.5418 Å (Cu Kα). Input: a crystal structure in Alexandria, relaxed with GGA-PBE.
No peak broadening, texture or thermal motion is included.

Structural model:
Cell: 11.8329 11.8329 11.8329 Å, 38.36 38.36 38.36°
Fractional positions:
Rb  0.0000  0.0000  0.0000
Na  0.5000  0.5000  0.5000
Sc  0.2500  0.2500  0.2500
Sc  0.7500  0.7500  0.7500
I  0.1027  0.7892  0.4301
I  0.2108  0.5699  0.8973
I  0.3324  0.3324  0.3324
I  0.4301  0.1027  0.7892
I  0.5699  0.8973  0.2108
I  0.6676  0.6676  0.6676
I  0.7892  0.4301  0.1027
I  0.8973  0.2108  0.5699

Largest 12 diffraction maxima, in order of falling intensity, 2θ from 5° to 70°:
d 3.660, 24.3°, I 1000; d 3.170, 28.2°, I 470; d 1.913, 47.5°, I 344; d 2.245, 40.2°, I 246; d 2.238, 40.3°, I 242; d 1.908, 47.7°, I 112; d 1.456, 63.9°, I 93; d 1.832, 49.8°, I 93; d 1.585, 58.2°, I 78; d 1.419, 65.8°, I 77; d 1.416, 66.0°, I 71; d 1.451, 64.2°, I 45

=====

# Pr2Zn12Ni5
Simulated powder diffractogram, λ = 1.5418 Å (Cu Kα). Input: a crystal structure in Alexandria, relaxed with GGA-PBE.
No peak broadening, texture or thermal motion is included.

Structural model:
Cell: 6.6762 6.6762 6.6762 Å, 84.01 84.01 84.01°
Fractional positions:
Pr  0.1623  0.1623  0.1623
Pr  0.8377  0.8377  0.8377
Zn  0.1587  0.1587  0.6360
Zn  0.1587  0.6360  0.1587
Zn  0.2171  0.5000  0.7829
Zn  0.2171  0.7829  0.5000
Zn  0.3640  0.8413  0.8413
Zn  0.5000  0.2171  0.7829
Zn  0.5000  0.7829  0.2171
Zn  0.6360  0.1587  0.1587
Zn  0.7829  0.2171  0.5000
Zn  0.7829  0.5000  0.2171
Zn  0.8413  0.3640  0.8413
Zn  0.8413  0.8413  0.3640
Ni  0.0000  0.5000  0.5000
Ni  0.3977  0.3977  0.3977
Ni  0.5000  0.0000  0.5000
Ni  0.5000  0.5000  0.0000
Ni  0.6023  0.6023  0.6023

Largest 12 diffraction maxima, in order of falling intensity, 2θ from 5° to 70°:
d 2.203, 41.0°, I 1000; d 2.234, 40.4°, I 685; d 2.119, 42.7°, I 375; d 2.579, 34.8°, I 367; d 2.456, 36.6°, I 352; d 1.976, 45.9°, I 340; d 3.075, 29.0°, I 273; d 2.125, 42.5°, I 227; d 1.537, 60.2°, I 174; d 1.569, 58.9°, I 170; d 2.152, 42.0°, I 124; d 2.850, 31.4°, I 121

=====

# Ba4Tb2Cd3S10
Simulated powder diffractogram, λ = 1.5418 Å (Cu Kα). Input: a crystal structure in Alexandria, relaxed with GGA-PBE.
No peak broadening, texture or thermal motion is included.

Structural model:
Cell: 9.3651 9.3651 26.9126 Å, 90.00 90.00 154.16°
Fractional positions:
Ba  0.0757  0.9243  0.5000
Ba  0.0948  0.9052  0.6831
Ba  0.3374  0.6626  0.4550
Ba  0.3381  0.6619  0.7339
Ba  0.6619  0.3381  0.2339
Ba  0.6626  0.3374  0.9550
Ba  0.9052  0.0948  0.1831
Ba  0.9243  0.0757  0.0000
Tb  0.0028  0.9972  0.8437
Tb  0.4212  0.5788  0.5971
Tb  0.5788  0.4212  0.0971
Tb  0.9972  0.0028  0.3437
Cd  0.2827  0.7173  0.0755
Cd  0.3410  0.6590  0.3058
Cd  0.3462  0.6538  0.8878
Cd  0.6538  0.3462  0.3878
Cd  0.6590  0.3410  0.8058
Cd  0.7173  0.2827  0.5755
S  0.0763  0.9237  0.1644
S  0.0894  0.9106  0.0281
S  0.1502  0.8498  0.3330
S  0.1531  0.8469  0.8627
S  0.2699  0.7301  0.6099
S  0.2889  0.7111  0.2218
S  0.2925  0.7075  0.9750
S  0.4267  0.5733  0.0910
S  0.4843  0.5157  0.2771
S  0.4888  0.5112  0.9145
S  0.5112  0.4888  0.4145
S  0.5157  0.4843  0.7771
S  0.5733  0.4267  0.5910
S  0.7075  0.2925  0.4750
S  0.7111  0.2889  0.7218
S  0.7301  0.2699  0.1099
S  0.8469  0.1531  0.3627
S  0.8498  0.1502  0.8330
S  0.9106  0.0894  0.5281
S  0.9237  0.0763  0.6644

Largest 12 diffraction maxima, in order of falling intensity, 2θ from 5° to 70°:
d 3.019, 29.6°, I 1000; d 2.968, 30.1°, I 609; d 3.450, 25.8°, I 440; d 2.102, 43.0°, I 380; d 3.543, 25.1°, I 378; d 2.094, 43.2°, I 334; d 3.422, 26.0°, I 312; d 3.481, 25.6°, I 295; d 3.253, 27.4°, I 271; d 2.547, 35.2°, I 259; d 1.711, 53.6°, I 244; d 2.799, 32.0°, I 196

=====

# Y2Ga4Ir3Ru
Simulated powder diffractogram, λ = 1.5418 Å (Cu Kα). Input: a crystal structure in Alexandria, relaxed with GGA-PBE.
No peak broadening, texture or thermal motion is included.

Structural model:
Cell: 4.3182 4.3182 9.9154 Å, 90.00 90.00 90.00°
Fractional positions:
Y  0.0000  0.5000  0.2275
Y  0.5000  0.0000  0.7725
Ga  0.0000  0.0000  0.5000
Ga  0.0000  0.5000  0.8754
Ga  0.5000  0.0000  0.1246
Ga  0.5000  0.5000  0.5000
Ir  0.0000  0.0000  0.0000
Ir  0.0000  0.5000  0.6290
Ir  0.5000  0.0000  0.3710
Ru  0.5000  0.5000  0.0000

Largest 12 diffraction maxima, in order of falling intensity, 2θ from 5° to 70°:
d 2.600, 34.5°, I 1000; d 2.159, 41.8°, I 962; d 2.625, 34.2°, I 704; d 1.925, 47.2°, I 682; d 1.801, 50.7°, I 400; d 3.256, 27.4°, I 388; d 1.667, 55.1°, I 357; d 3.959, 22.5°, I 330; d 1.527, 60.7°, I 318; d 2.918, 30.6°, I 257; d 1.383, 67.7°, I 240; d 4.958, 17.9°, I 189